Record 1
Structure and simulated powder XRD pattern of UAlNi (a crystal structure in the Materials Project, relaxed with GGA-PBE; Cu Kα (weighted mean of Kα1 and Kα2)).
Peak positions follow from Bragg's law for the DFT cell and can differ from measured ones.

The 10 most intense peaks (2θ = 10–90°), by angle:
| index | Position (°2θ) | Rel. int. |
| --- | --- | --- |
| 0 0 1 | 21.7 | 44 |
| 1 1 0 | 27.0 | 31 |
| 2 0 0 | 31.3 | 45 |
| 1 1 1 | 34.9 | 80 |
| 2 0 1 | 38.4 | 100 |
| 2 1 0 | 41.8 | 27 |
| 0 0 2 | 44.1 | 23 |
| 3 1 0 | 58.1 | 25 |
| 3 1 1 | 62.8 | 39 |
| 3 1 2 | 75.8 | 24 |

Atomic structure:
Cell: 6.6054 6.6054 4.1027 Å, 90.00 90.00 120.00°
Space group P-62m (No. 189)
Symmetry-distinct sites (fractional):
1 U 0.0000 0.4286 0.0000 x3
2 Al 0.0000 0.7646 0.5000 x3
3 Ni 0.0000 0.0000 0.0000 x1
4 Ni 0.3333 0.6667 0.5000 x2

---

Record 2
Structure and simulated powder XRD pattern of UAl3Ni2 (a crystal structure in the Materials Project, relaxed with GGA-PBE; Cu Kα (weighted mean of Kα1 and Kα2)).
Peak positions follow from Bragg's law for the DFT cell and can differ from measured ones.

The 10 most intense peaks (2θ = 10–90°), by angle:
| index | Position (°2θ) | Rel. int. |
| --- | --- | --- |
| 1 0 0 | 19.9 | 37 |
| 0 0 1 | 22.0 | 43 |
| 1 0 1 | 29.9 | 58 |
| 1 1 0 | 34.9 | 60 |
| 2 0 0 | 40.5 | 22 |
| 1 1 1 | 41.6 | 100 |
| 0 0 2 | 45.0 | 17 |
| 1 1 2 | 58.1 | 28 |
| 2 1 1 | 59.5 | 18 |
| 3 0 1 | 67.1 | 24 |

Atomic structure:
Cell: 5.1472 5.1472 4.0319 Å, 90.00 90.00 120.00°
Space group P6/mmm (No. 191)
Symmetry-distinct sites (fractional):
1 U 0.0000 0.0000 0.0000 x1
2 Al 0.0000 0.5000 0.5000 x3
3 Ni 0.3333 0.6667 0.0000 x2

---

Record 3
Structure and simulated powder XRD pattern of UAlNi4 (a crystal structure in the Materials Project, relaxed with GGA-PBE; Cu Kα (weighted mean of Kα1 and Kα2)).
Peak positions follow from Bragg's law for the DFT cell and can differ from measured ones.

The 10 most intense peaks (2θ = 10–90°), by angle:
| index | Position (°2θ) | Rel. int. |
| --- | --- | --- |
| 1 1 1 | 22.4 | 34 |
| 2 0 0 | 25.9 | 35 |
| 2 2 0 | 36.9 | 45 |
| 3 1 1 | 43.6 | 100 |
| 2 2 2 | 45.7 | 27 |
| 3 3 1 | 58.4 | 9 |
| 4 2 0 | 60.1 | 14 |
| 4 2 2 | 66.5 | 17 |
| 5 1 1 | 71.2 | 32 |
| 4 4 0 | 78.6 | 20 |

Atomic structure:
Cell: 6.8839 6.8839 6.8839 Å, 90.00 90.00 90.00°
Space group F-43m (No. 216)
Symmetry-distinct sites (fractional):
1 U 0.0000 0.0000 0.0000 x4
2 Al 0.2500 0.2500 0.7500 x4
3 Ni 0.1238 0.1238 0.3762 x16

---

Record 4
Structure and simulated powder XRD pattern of UAlNi (a crystal structure in the Materials Project, relaxed with GGA-PBE; Cu Kα (weighted mean of Kα1 and Kα2)).
Peak positions follow from Bragg's law for the DFT cell and can differ from measured ones.

The 10 most intense peaks (2θ = 10–90°), by angle:
| index | Position (°2θ) | Rel. int. |
| --- | --- | --- |
| 1 0 0 | 21.7 | 66 |
| 0 3 1 | 26.7 | 37 |
| 0 2 2 | 31.3 | 46 |
| 1 3 1 | 34.7 | 83 |
| 1 0 2 | 35.0 | 40 |
| 1 4 0 | 38.0 | 53 |
| 1 2 2 | 38.4 | 100 |
| 2 0 0 | 44.2 | 35 |
| 1 7 1 | 62.0 | 29 |
| 1 5 3 | 62.6 | 29 |

Atomic structure:
Cell: 4.0989 11.6233 6.5572 Å, 90.00 90.00 90.00°
Space group Amm2 (No. 38)
Symmetry-distinct sites (fractional):
1 U 0.0000 0.0000 0.0000 x2
2 U 0.0000 0.2143 0.3577 x4
3 Al 0.5000 0.0000 0.3382 x2
4 Al 0.5000 0.1183 0.6904 x4
5 Ni 0.0000 0.0000 0.5762 x2
6 Ni 0.5000 0.1648 0.0732 x4

---

Record 5
Structure and simulated powder XRD pattern of AlVNi2 (a crystal structure in the Materials Project, relaxed with GGA-PBE; Cu Kα (weighted mean of Kα1 and Kα2)).
Peak positions follow from Bragg's law for the DFT cell and can differ from measured ones.

The 10 most intense peaks (2θ = 10–90°), by angle:
| index | Position (°2θ) | Rel. int. |
| --- | --- | --- |
| 0 0 2 | 26.0 | 6 |
| 1 0 0 | 33.8 | 7 |
| 1 0 1 | 36.4 | 4 |
| 1 0 2 | 43.2 | 100 |
| 1 1 0 | 48.6 | 35 |
| 0 0 4 | 53.5 | 12 |
| 1 1 2 | 56.0 | 3 |
| 2 0 0 | 71.2 | 10 |
| 1 1 4 | 75.1 | 17 |
| 2 1 2 | 87.1 | 23 |

Atomic structure:
Cell: 2.6481 2.6481 6.8561 Å, 90.00 90.00 90.00°
Space group P4/mmm (No. 123)
Symmetry-distinct sites (fractional):
1 Al 0.0000 0.0000 0.0000 x1
2 V 0.0000 0.0000 0.5000 x1
3 Ni 0.5000 0.5000 0.2391 x2

---

Record 6
Structure and simulated powder XRD pattern of Y2AlNi2 (a crystal structure in the Materials Project, relaxed with GGA-PBE; Cu Kα (weighted mean of Kα1 and Kα2)).
Peak positions follow from Bragg's law for the DFT cell and can differ from measured ones.

The 10 most intense peaks (2θ = 10–90°), by angle:
| index | Position (°2θ) | Rel. int. |
| --- | --- | --- |
| 1 1 0 | 27.2 | 41 |
| 1 1 2 | 34.9 | 100 |
| 0 1 3 | 36.5 | 20 |
| 1 0 3 | 39.3 | 48 |
| 0 2 2 | 39.6 | 53 |
| 1 2 1 | 41.3 | 59 |
| 0 0 4 | 43.7 | 18 |
| 2 0 0 | 44.2 | 35 |
| 2 2 2 | 60.8 | 28 |
| 1 2 5 | 70.4 | 31 |

Atomic structure:
Cell: 4.1020 5.4387 8.2894 Å, 90.00 90.00 90.00°
Space group Immm (No. 71)
Symmetry-distinct sites (fractional):
1 Y 0.0000 0.0000 0.2065 x4
2 Al 0.0000 0.5000 0.0000 x2
3 Ni 0.0000 0.2764 0.5000 x4

---

Record 7
Structure and simulated powder XRD pattern of Y3Al19Ni5 (a crystal structure in the Materials Project, relaxed with GGA-PBE; Cu Kα (weighted mean of Kα1 and Kα2)).
Peak positions follow from Bragg's law for the DFT cell and can differ from measured ones.

The 10 most intense peaks (2θ = 10–90°), by angle:
| index | Position (°2θ) | Rel. int. |
| --- | --- | --- |
| 0 2 6 | 22.5 | 33 |
| 0 4 3 | 24.2 | 37 |
| 1 3 4 | 30.4 | 53 |
| 1 5 0 | 35.5 | 33 |
| 1 5 1 | 35.6 | 36 |
| 0 6 4 | 36.1 | 30 |
| 1 1 9 | 37.3 | 100 |
| 1 5 5 | 39.2 | 52 |
| 2 0 0 | 44.1 | 75 |
| 0 6 9 | 45.2 | 29 |

Atomic structure:
Cell: 4.1093 16.0630 27.2633 Å, 90.00 90.00 90.00°
Space group Cmcm (No. 63)
Symmetry-distinct sites (fractional):
1 Y 0.0000 0.1123 0.2500 x4
2 Y 0.0000 0.3336 0.1352 x8
3 Al 0.0000 0.0362 0.6012 x8
4 Al 0.0000 0.0797 0.7017 x8
5 Al 0.0000 0.0936 0.0366 x8
6 Al 0.0000 0.1293 0.1355 x8
7 Al 0.0000 0.2655 0.0290 x8
8 Al 0.0000 0.2765 0.6933 x8
9 Al 0.0000 0.2907 0.5882 x8
10 Al 0.0000 0.3060 0.2500 x4
11 Al 0.0000 0.4333 0.0311 x8
12 Al 0.0000 0.4645 0.6741 x8
13 Ni 0.0000 0.1585 0.5419 x8
14 Ni 0.0000 0.4459 0.5845 x8
15 Ni 0.0000 0.4547 0.2500 x4

---

Record 8
Structure and simulated powder XRD pattern of YAl2Ni (a crystal structure in the Materials Project, relaxed with GGA-PBE; Cu Kα (weighted mean of Kα1 and Kα2)).
Peak positions follow from Bragg's law for the DFT cell and can differ from measured ones.

The 10 most intense peaks (2θ = 10–90°), by angle:
| index | Position (°2θ) | Rel. int. |
| --- | --- | --- |
| 1 1 0 | 23.6 | 39 |
| 0 0 2 | 25.9 | 43 |
| 1 1 2 | 35.3 | 86 |
| 1 3 1 | 36.7 | 100 |
| 0 4 1 | 37.3 | 59 |
| 2 0 0 | 44.7 | 33 |
| 1 1 3 | 46.4 | 13 |
| 1 3 3 | 53.1 | 28 |
| 2 4 1 | 59.6 | 29 |
| 1 7 0 | 67.8 | 14 |

Atomic structure:
Cell: 4.0517 10.2907 6.8713 Å, 90.00 90.00 90.00°
Space group Cmcm (No. 63)
Symmetry-distinct sites (fractional):
1 Y 0.0000 0.0606 0.2500 x4
2 Al 0.0000 0.3416 0.0548 x8
3 Ni 0.0000 0.2161 0.7500 x4

---

Record 9
Structure and simulated powder XRD pattern of Y2Al5Ni5 (a crystal structure in the Materials Project, relaxed with GGA-PBE; Cu Kα (weighted mean of Kα1 and Kα2)).
Peak positions follow from Bragg's law for the DFT cell and can differ from measured ones.

The 10 most intense peaks (2θ = 10–90°), by angle:
| index | Position (°2θ) | Rel. int. |
| --- | --- | --- |
| 2 0 2 | 23.1 | 25 |
| 1 1 1 | 24.8 | 36 |
| 2 1 -4 | 38.0 | 100 |
| 2 0 6 | 40.4 | 53 |
| 4 0 0 | 40.6 | 28 |
| 3 1 -3 | 41.5 | 53 |
| 3 1 3 | 41.6 | 27 |
| 0 2 0 | 44.6 | 51 |
| 2 1 -6 | 46.4 | 37 |
| 2 2 6 | 61.8 | 28 |

Atomic structure:
Cell: 8.8946 4.0608 15.4702 Å, 90.00 90.05 90.00°
Space group Pm (No. 6)
Symmetry-distinct sites (fractional):
1 Y 0.0000 0.0000 0.0000 x1
2 Y 0.0021 0.0000 0.6668 x1
3 Y 0.4889 0.5000 0.8351 x1
4 Y 0.4955 0.0000 0.4991 x1
5 Y 0.4987 0.0000 0.1718 x1
6 Y 0.9932 0.5000 0.3392 x1
7 Al 0.0044 0.5000 0.8353 x1
8 Al 0.1443 0.0000 0.1879 x1
9 Al 0.2444 0.5000 0.5801 x1
10 Al 0.2488 0.5000 0.0874 x1
11 Al 0.2796 0.0000 0.3415 x1
12 Al 0.3451 0.0000 0.6943 x1
13 Al 0.3458 0.0000 0.9763 x1
14 Al 0.5052 0.5000 0.3342 x1
15 Al 0.6432 0.0000 0.6875 x1
16 Al 0.6427 0.0000 0.9833 x1
17 Al 0.7458 0.5000 0.5868 x1
18 Al 0.7490 0.5000 0.0844 x1
19 Al 0.7931 0.0000 0.8348 x1
20 Al 0.8460 0.0000 0.1957 x1
21 Al 0.8562 0.0000 0.4755 x1
22 Ni 0.1474 0.0000 0.4879 x1
23 Ni 0.1923 0.0000 0.8355 x1
24 Ni 0.2227 0.5000 0.7409 x1
25 Ni 0.2243 0.5000 0.9287 x1
26 Ni 0.2706 0.5000 0.2468 x1
27 Ni 0.2746 0.5000 0.4248 x1
28 Ni 0.4922 0.5000 0.6523 x1
29 Ni 0.4961 0.5000 0.0181 x1
30 Ni 0.6922 0.0000 0.3364 x1
31 Ni 0.7227 0.5000 0.4300 x1
32 Ni 0.7257 0.5000 0.2427 x1
33 Ni 0.7709 0.5000 0.7453 x1
34 Ni 0.7708 0.5000 0.9252 x1
35 Ni 0.9922 0.5000 0.5191 x1
36 Ni 0.9961 0.5000 0.1548 x1

---

Record 10
Structure and simulated powder XRD pattern of YAl8Ni3 (a crystal structure in the Materials Project, relaxed with GGA-PBE; Cu Kα (weighted mean of Kα1 and Kα2)).
Peak positions follow from Bragg's law for the DFT cell and can differ from measured ones.

The 10 most intense peaks (2θ = 10–90°), by angle:
| index | Position (°2θ) | Rel. int. |
| --- | --- | --- |
| 0 0 2 | 12.1 | 63 |
| 2 0 0 | 26.5 | 31 |
| 0 1 3 | 29.2 | 24 |
| 1 1 3 | 32.1 | 53 |
| 2 1 1 | 35.7 | 100 |
| 0 1 5 | 38.3 | 25 |
| 1 0 6 | 39.2 | 49 |
| 2 1 3 | 39.8 | 33 |
| 1 1 5 | 40.7 | 72 |
| 0 2 0 | 46.3 | 42 |

Atomic structure:
Cell: 6.7198 3.9215 14.6875 Å, 90.00 90.00 90.00°
Space group Amm2 (No. 38)
Symmetry-distinct sites (fractional):
1 Y 0.0000 0.0000 0.0000 x2
2 Al 0.0000 0.0000 0.8013 x2
3 Al 0.2100 0.0000 0.1951 x4
4 Al 0.2660 0.0000 0.3703 x4
5 Al 0.3075 0.0000 0.5661 x4
6 Al 0.5000 0.0000 0.9390 x2
7 Ni 0.0000 0.0000 0.6452 x2
8 Ni 0.5000 0.0000 0.1019 x2
9 Ni 0.5000 0.0000 0.7495 x2

---

Record 11
Structure and simulated powder XRD pattern of YAl4Ni (a crystal structure in the Materials Project, relaxed with GGA-PBE; Cu Kα (weighted mean of Kα1 and Kα2)).
Peak positions follow from Bragg's law for the DFT cell and can differ from measured ones.

The 10 most intense peaks (2θ = 10–90°), by angle:
| index | Position (°2θ) | Rel. int. |
| --- | --- | --- |
| 0 2 0 | 11.5 | 46 |
| 0 0 2 | 26.9 | 32 |
| 1 3 1 | 31.1 | 66 |
| 1 1 2 | 35.4 | 100 |
| 1 5 0 | 36.6 | 38 |
| 0 6 1 | 37.5 | 51 |
| 1 5 1 | 39.1 | 52 |
| 1 3 2 | 39.2 | 30 |
| 2 0 0 | 44.6 | 71 |
| 1 3 3 | 50.2 | 26 |

Atomic structure:
Cell: 4.0599 15.4418 6.6276 Å, 90.00 90.00 90.00°
Space group Cmcm (No. 63)
Symmetry-distinct sites (fractional):
1 Y 0.0000 0.1171 0.2500 x4
2 Al 0.0000 0.0764 0.7500 x4
3 Al 0.0000 0.3112 0.0529 x8
4 Al 0.0000 0.5000 0.0000 x4
5 Ni 0.0000 0.2264 0.7500 x4

---

Record 12
Structure and simulated powder XRD pattern of ZrAlNi (a crystal structure in the Materials Project, relaxed with GGA-PBE; Cu Kα (weighted mean of Kα1 and Kα2)).
Peak positions follow from Bragg's law for the DFT cell and can differ from measured ones.

The 10 most intense peaks (2θ = 10–90°), by angle:
| index | Position (°2θ) | Rel. int. |
| --- | --- | --- |
| 1 1 0 | 25.8 | 31 |
| 2 0 0 | 29.9 | 20 |
| 1 1 1 | 36.5 | 100 |
| 2 0 1 | 39.6 | 100 |
| 2 1 0 | 39.9 | 33 |
| 3 0 0 | 45.5 | 38 |
| 2 1 1 | 47.9 | 25 |
| 0 0 2 | 52.1 | 21 |
| 3 1 1 | 61.9 | 22 |
| 3 2 1 | 74.2 | 26 |

Atomic structure:
Cell: 6.9074 6.9074 3.5085 Å, 90.00 90.00 120.00°
Space group P-62m (No. 189)
Symmetry-distinct sites (fractional):
1 Zr 0.0000 0.4070 0.0000 x3
2 Al 0.0000 0.7505 0.5000 x3
3 Ni 0.0000 0.0000 0.0000 x1
4 Ni 0.3333 0.6667 0.5000 x2